Structure and simulated powder XRD pattern of Pu3AsSe6 (the PBE geometry in Alexandria; λ = 1.5418 Å (Cu Kα)).

Largest 10 diffraction maxima, in order of rising 2θ, 2θ from 10° to 90°:
d [Å], Position (°2θ), I_rel
5.426, 16.34, 33
3.679, 24.19, 100
3.642, 24.44, 52
2.668, 33.59, 48
2.492, 36.04, 58
2.458, 36.55, 46
2.221, 40.61, 46
1.945, 46.70, 22
1.922, 47.28, 20
1.848, 49.31, 18

Structure:
```
20
Lattice="5.544 -6.949 0.000 5.544 6.949 0.000 0.000 0.000 6.957" Properties=species:S:1:pos:R:3 pbc="T T T"
Pu 5.544 5.564 3.479
Pu 3.535 1.376 4.168
Pu 3.535 -1.376 0.689
Pu 7.554 1.376 4.168
Pu 7.554 -1.376 0.689
Pu 5.544 -5.564 0.000
As 5.544 2.464 0.819
As 5.544 -2.464 4.297
Se 3.719 3.616 2.097
Se 1.809 0.438 2.083
Se 1.809 -0.438 5.562
Se 5.544 3.249 5.305
Se 7.370 3.616 2.097
Se 5.544 0.100 2.495
Se 5.544 -0.100 5.974
Se 3.719 -3.616 5.575
Se 5.544 -3.249 1.827
Se 9.280 0.438 2.083
Se 9.280 -0.438 5.562
Se 7.370 -3.616 5.575
```